Record 1
This entry pairs a crystal structure of Ca2ErPb3 with its theoretical powder diffraction line list. Radiation: λ = 1.5418 Å (Cu Kα). Structure: a PBE-relaxed structure.
No peak broadening, texture or thermal motion is included.

Structure:
```
data_Ca2ErPb3
_chemical_formula_sum 'Ca8 Er4 Pb12'
_space_group_name_H-M_alt 'C m m m'
_space_group_IT_number 65
_space_group_name_Hall '-C 2 2'
_cell_length_a 5.063
_cell_length_b 15.324
_cell_length_c 9.051
_cell_angle_alpha 90.00
_cell_angle_beta 90.00
_cell_angle_gamma 90.00
loop_
_atom_site_label
_atom_site_fract_x
_atom_site_fract_y
_atom_site_fract_z
_atom_site_occupancy
Ca1 0.000 0.000 0.000 1
Ca2 0.000 0.000 0.500 1
Ca3 0.000 0.335 0.000 1
Er1 0.000 0.334 0.500 1
Pb1 0.000 0.169 0.256 1
Pb2 0.000 0.500 0.255 1
```

Main lines, in order of falling intensity (2θ = 10–90°):
Position (°2θ)	I_rel	index
31.78	100	1 3 2
35.14	20	0 6 0
35.46	19	2 0 0
24.76	16	1 3 0
60.95	16	1 9 2
61.37	15	3 3 2
50.78	14	2 6 0
39.84	13	0 0 4
19.62	13	0 0 2
66.41	12	2 6 4



Record 2
This entry pairs a crystal structure of Ca2ErPd4 with its theoretical powder diffraction line list. Radiation: λ = 1.5418 Å (Cu Kα). Structure: a PBE-relaxed structure.
No peak broadening, texture or thermal motion is included.

Structure:
```
data_Ca2ErPd4
_chemical_formula_sum 'Ca8 Er4 Pd16'
_space_group_name_H-M_alt 'F m m m'
_space_group_IT_number 69
_space_group_name_Hall '-F 2 2'
_cell_length_a 7.387
_cell_length_b 7.644
_cell_length_c 11.056
_cell_angle_alpha 90.00
_cell_angle_beta 90.00
_cell_angle_gamma 90.00
loop_
_atom_site_label
_atom_site_fract_x
_atom_site_fract_y
_atom_site_fract_z
_atom_site_occupancy
Ca1 0.000 0.000 0.186 1
Er1 0.000 0.000 0.500 1
Pd1 0.250 0.250 0.124 1
```

Main lines, in order of falling intensity (2θ = 10–90°):
Position (°2θ)	I_rel	index
33.75	100	2 2 0
40.27	47	0 2 4
40.78	45	2 0 4
29.50	37	1 1 3
18.53	32	1 1 1
64.42	23	2 4 4
65.51	22	4 2 4
47.58	19	0 4 0
49.35	17	4 0 0
77.94	12	2 2 8



Record 3
This entry pairs a crystal structure of Ca2ErPd3 with its theoretical powder diffraction line list. Radiation: λ = 1.5418 Å (Cu Kα). Structure: a PBE-relaxed structure.
No peak broadening, texture or thermal motion is included.

Structure:
```
data_Ca2ErPd3
_chemical_formula_sum 'Ca8 Er4 Pd12'
_space_group_name_H-M_alt 'C m m m'
_space_group_IT_number 65
_space_group_name_Hall '-C 2 2'
_cell_length_a 4.952
_cell_length_b 14.936
_cell_length_c 7.071
_cell_angle_alpha 90.00
_cell_angle_beta 90.00
_cell_angle_gamma 90.00
loop_
_atom_site_label
_atom_site_fract_x
_atom_site_fract_y
_atom_site_fract_z
_atom_site_occupancy
Ca1 0.000 0.000 0.000 1
Ca2 0.000 0.000 0.500 1
Ca3 0.000 0.334 0.000 1
Er1 0.000 0.336 0.500 1
Pd1 0.000 0.174 0.273 1
Pd2 0.000 0.500 0.261 1
```

Main lines, in order of falling intensity (2θ = 10–90°):
Position (°2θ)	I_rel	index
36.06	100	0 6 0
36.28	20	2 0 0
12.52	20	0 0 1
64.84	19	1 9 2
52.10	14	2 6 0
65.12	14	3 3 2
76.49	9	0 12 0
46.39	8	1 3 3
51.71	6	0 0 4
64.67	6	0 6 4



Record 4
This entry pairs a crystal structure of Ca5ErPd6 with its theoretical powder diffraction line list. Radiation: λ = 1.5418 Å (Cu Kα). Structure: a PBE-relaxed structure.
No peak broadening, texture or thermal motion is included.

Structure:
```
data_Ca5ErPd6
_chemical_formula_sum 'Ca10 Er2 Pd12'
_space_group_name_H-M_alt 'C m m m'
_space_group_IT_number 65
_space_group_name_Hall '-C 2 2'
_cell_length_a 4.959
_cell_length_b 14.911
_cell_length_c 7.107
_cell_angle_alpha 90.00
_cell_angle_beta 90.00
_cell_angle_gamma 90.00
loop_
_atom_site_label
_atom_site_fract_x
_atom_site_fract_y
_atom_site_fract_z
_atom_site_occupancy
Ca1 0.000 0.000 0.000 1
Ca2 0.000 0.330 0.500 1
Ca3 0.000 0.334 0.000 1
Er1 0.000 0.000 0.500 1
Pd1 0.000 0.159 0.256 1
Pd2 0.000 0.500 0.270 1
```

Main lines, in order of falling intensity (2θ = 10–90°):
Position (°2θ)	I_rel	index
35.96	100	1 3 2
36.19	49	2 0 0
64.99	17	3 3 2
52.11	17	2 6 0
64.50	16	2 0 4
64.88	16	1 9 2
87.85	10	3 9 2
76.25	10	2 6 4
25.37	9	1 3 0
12.45	8	0 0 1



Record 5
This entry pairs a crystal structure of CaErPdRh with its theoretical powder diffraction line list. Radiation: λ = 1.5418 Å (Cu Kα). Structure: a PBE-relaxed structure.
No peak broadening, texture or thermal motion is included.

Structure:
```
data_CaErPdRh
_chemical_formula_sum 'Ca1 Er1 Pd1 Rh1'
_space_group_name_H-M_alt 'P 4 m m'
_space_group_IT_number 99
_cell_length_a 3.406
_cell_length_b 3.406
_cell_length_c 7.179
_cell_angle_alpha 90.00
_cell_angle_beta 90.00
_cell_angle_gamma 90.00
loop_
_space_group_symop_operation_xyz
'x,y,z'
'-y,x,z'
'-x,-y,z'
'y,-x,z'
'-x,y,z'
'y,x,z'
'x,-y,z'
'-y,-x,z'
loop_
_atom_site_label
_atom_site_fract_x
_atom_site_fract_y
_atom_site_fract_z
_atom_site_occupancy
Ca1 0.000 0.000 0.000 1
Er1 0.000 0.000 0.488 1
Pd1 0.500 0.500 0.724 1
Rh1 0.500 0.500 0.268 1
```

Main lines, in order of falling intensity (2θ = 10–90°):
Position (°2θ)	I_rel	index
36.36	100	1 0 2
37.34	48	1 1 0
12.33	43	0 0 1
66.71	33	2 1 2
53.83	17	2 0 0
64.79	16	1 1 4
46.37	13	1 0 3
39.47	11	1 1 1
77.23	9	2 0 4
29.02	9	1 0 1



Record 6
This entry pairs a crystal structure of CaEr2SnPd4 with its theoretical powder diffraction line list. Radiation: λ = 1.5418 Å (Cu Kα). Structure: a PBE-relaxed structure.
No peak broadening, texture or thermal motion is included.

Structure:
```
data_CaEr2SnPd4
_chemical_formula_sum 'Ca3 Er6 Sn3 Pd12'
_space_group_name_H-M_alt 'R -3 m'
_space_group_IT_number 166
_space_group_name_Hall '-R 3 2"'
_cell_length_a 4.8441
_cell_length_b 4.8441
_cell_length_c 23.9842
_cell_angle_alpha 90.00
_cell_angle_beta 90.00
_cell_angle_gamma 120.00
loop_
_atom_site_label
_atom_site_fract_x
_atom_site_fract_y
_atom_site_fract_z
_atom_site_occupancy
Ca1 0.0000 0.0000 0.0000 1
Er1 0.0000 0.0000 0.2470 1
Sn1 0.0000 0.0000 0.5000 1
Pd1 0.0000 0.0000 0.1274 1
Pd2 0.0000 0.0000 0.3782 1
```

Main lines, in order of falling intensity (2θ = 10–90°):
Position (°2θ)	I_rel	index
36.85	100	0 1 8
37.12	100	1 1 0
66.74	35	1 2 8
53.30	34	2 0 8
66.91	18	3 0 0
66.20	17	1 0 16
22.45	11	0 1 2
79.08	11	2 2 0
78.41	10	0 2 16
11.07	8	0 0 3



Record 7
This entry pairs a crystal structure of CaErZnPd with its theoretical powder diffraction line list. Radiation: λ = 1.5418 Å (Cu Kα). Structure: a PBE-relaxed structure.
No peak broadening, texture or thermal motion is included.

Structure:
```
data_CaErZnPd
_chemical_formula_sum 'Ca1 Er1 Zn1 Pd1'
_space_group_name_H-M_alt 'P 4 m m'
_space_group_IT_number 99
_cell_length_a 3.544
_cell_length_b 3.544
_cell_length_c 7.231
_cell_angle_alpha 90.00
_cell_angle_beta 90.00
_cell_angle_gamma 90.00
loop_
_space_group_symop_operation_xyz
'x,y,z'
'-y,x,z'
'-x,-y,z'
'y,-x,z'
'-x,y,z'
'y,x,z'
'x,-y,z'
'-y,-x,z'
loop_
_atom_site_label
_atom_site_fract_x
_atom_site_fract_y
_atom_site_fract_z
_atom_site_occupancy
Ca1 0.000 0.000 0.000 1
Er1 0.000 0.000 0.481 1
Zn1 0.500 0.500 0.720 1
Pd1 0.500 0.500 0.279 1
```

Main lines, in order of falling intensity (2θ = 10–90°):
Position (°2θ)	I_rel	index
35.47	100	1 0 2
12.24	60	0 0 1
35.83	53	1 1 0
64.16	34	2 1 2
45.51	18	1 0 3
51.58	18	2 0 0
38.00	16	1 1 1
63.45	14	1 1 4
86.93	12	3 1 0
75.96	11	2 2 0



Record 8
This entry pairs a crystal structure of Ca2Pm15Er2 with its theoretical powder diffraction line list. Radiation: λ = 1.5418 Å (Cu Kα). Structure: a PBE-relaxed structure.
No peak broadening, texture or thermal motion is included.

Structure:
```
data_Ca2Pm15Er2
_chemical_formula_sum 'Ca6 Pm45 Er6'
_space_group_name_H-M_alt 'R -3 m'
_space_group_IT_number 166
_space_group_name_Hall '-R 3 2"'
_cell_length_a 11.6311
_cell_length_b 11.6311
_cell_length_c 17.6587
_cell_angle_alpha 90.00
_cell_angle_beta 90.00
_cell_angle_gamma 120.00
loop_
_atom_site_label
_atom_site_fract_x
_atom_site_fract_y
_atom_site_fract_z
_atom_site_occupancy
Ca1 0.0000 0.0000 0.1692 1
Pm1 0.0000 0.2939 0.5000 1
Pm2 0.0000 0.5000 0.0000 1
Pm3 0.0068 0.5034 0.6406 1
Er1 0.0000 0.0000 0.4047 1
```

Main lines, in order of falling intensity (2θ = 10–90°):
Position (°2θ)	I_rel	index
30.69	100	2 2 0
34.40	81	2 2 3
30.93	39	2 0 5
34.14	29	1 1 6
10.11	26	1 0 1
26.86	23	0 2 4
15.24	22	1 1 0
30.37	20	0 0 6
54.67	19	6 0 0
26.55	16	3 0 0



Record 9
This entry pairs a crystal structure of Ca2Pm5Er4 with its theoretical powder diffraction line list. Radiation: λ = 1.5418 Å (Cu Kα). Structure: a PBE-relaxed structure.
No peak broadening, texture or thermal motion is included.

Structure:
```
data_Ca2Pm5Er4
_chemical_formula_sum 'Ca4 Pm10 Er8'
_space_group_name_H-M_alt 'C 1 2/m 1'
_space_group_IT_number 12
_cell_length_a 17.355
_cell_length_b 6.752
_cell_length_c 6.624
_cell_angle_alpha 90.00
_cell_angle_beta 96.87
_cell_angle_gamma 90.00
loop_
_space_group_symop_operation_xyz
'x,y,z'
'-x,-y,-z'
'-x,y,-z'
'x,-y,z'
'x+1/2,y+1/2,z'
'-x+1/2,-y+1/2,-z'
'-x+1/2,y+1/2,-z'
'x+1/2,-y+1/2,z'
loop_
_atom_site_label
_atom_site_fract_x
_atom_site_fract_y
_atom_site_fract_z
_atom_site_occupancy
Ca1 0.202 0.000 0.345 1
Pm1 0.000 0.000 0.500 1
Pm2 0.089 0.261 0.896 1
Er1 0.080 0.500 0.383 1
Er2 0.245 0.500 0.137 1
```

Main lines, in order of falling intensity (2θ = 10–90°):
Position (°2θ)	I_rel	index
32.09	100	2 2 1
32.54	58	3 1 -2
35.52	51	4 2 -1
30.23	49	2 0 2
30.81	43	5 1 -1
31.14	41	6 0 0
29.75	39	0 2 1
33.73	31	4 2 0
56.35	21	4 2 3
29.09	21	5 1 0



Record 10
This entry pairs a crystal structure of CaPm7Er2 with its theoretical powder diffraction line list. Radiation: λ = 1.5418 Å (Cu Kα). Structure: a PBE-relaxed structure.
No peak broadening, texture or thermal motion is included.

Structure:
```
data_CaPm7Er2
_chemical_formula_sum 'Ca2 Pm14 Er4'
_space_group_name_H-M_alt 'C 1 2/m 1'
_space_group_IT_number 12
_cell_length_a 17.561
_cell_length_b 7.823
_cell_length_c 5.505
_cell_angle_alpha 90.00
_cell_angle_beta 108.22
_cell_angle_gamma 90.00
loop_
_space_group_symop_operation_xyz
'x,y,z'
'-x,-y,-z'
'-x,y,-z'
'x,-y,z'
'x+1/2,y+1/2,z'
'-x+1/2,-y+1/2,-z'
'-x+1/2,y+1/2,-z'
'x+1/2,-y+1/2,z'
loop_
_atom_site_label
_atom_site_fract_x
_atom_site_fract_y
_atom_site_fract_z
_atom_site_occupancy
Ca1 0.000 0.000 0.000 1
Pm1 0.000 0.500 0.500 1
Pm2 0.132 0.199 0.633 1
Pm3 0.163 0.500 0.164 1
Er1 0.215 0.000 0.215 1
```

Main lines, in order of falling intensity (2θ = 10–90°):
Position (°2θ)	I_rel	index
32.37	100	2 2 1
32.53	51	2 0 -2
31.35	50	4 2 0
29.18	39	3 1 1
29.20	38	5 1 -1
10.61	30	2 0 0
28.50	28	2 2 -1
52.00	19	7 3 0
57.88	19	0 2 3
45.81	19	2 2 2



Record 11
This entry pairs a crystal structure of CaPm2Er2 with its theoretical powder diffraction line list. Radiation: λ = 1.5418 Å (Cu Kα). Structure: a PBE-relaxed structure.
No peak broadening, texture or thermal motion is included.

Structure:
```
data_CaPm2Er2
_chemical_formula_sum 'Ca2 Pm4 Er4'
_space_group_name_H-M_alt 'C m m m'
_space_group_IT_number 65
_space_group_name_Hall '-C 2 2'
_cell_length_a 5.541
_cell_length_b 17.566
_cell_length_c 3.550
_cell_angle_alpha 90.00
_cell_angle_beta 90.00
_cell_angle_gamma 90.00
loop_
_atom_site_label
_atom_site_fract_x
_atom_site_fract_y
_atom_site_fract_z
_atom_site_occupancy
Ca1 0.000 0.000 0.000 1
Pm1 0.000 0.378 0.500 1
Er1 0.000 0.201 0.000 1
```

Main lines, in order of falling intensity (2θ = 10–90°):
Position (°2θ)	I_rel	index
30.12	100	1 5 0
10.07	79	0 2 0
33.66	73	1 3 1
30.33	69	1 1 1
32.31	52	2 0 0
32.43	46	0 4 1
46.43	34	2 4 1
56.28	32	3 5 0
60.81	27	1 5 2
39.42	24	1 7 0



Record 12
This entry pairs a crystal structure of CaPm14Er with its theoretical powder diffraction line list. Radiation: λ = 1.5418 Å (Cu Kα). Structure: a PBE-relaxed structure.
No peak broadening, texture or thermal motion is included.

Structure:
```
data_CaPm14Er
_chemical_formula_sum 'Ca2 Pm28 Er2'
_space_group_name_H-M_alt 'A m m 2'
_space_group_IT_number 38
_cell_length_a 11.326
_cell_length_b 8.689
_cell_length_c 11.192
_cell_angle_alpha 90.00
_cell_angle_beta 90.00
_cell_angle_gamma 90.00
loop_
_space_group_symop_operation_xyz
'x,y,z'
'-x,-y,z'
'-x,y,z'
'x,-y,z'
'x,y+1/2,z+1/2'
'-x,-y+1/2,z+1/2'
'-x,y+1/2,z+1/2'
'x,-y+1/2,z+1/2'
loop_
_atom_site_label
_atom_site_fract_x
_atom_site_fract_y
_atom_site_fract_z
_atom_site_occupancy
Ca1 0.000 0.000 0.000 1
Pm1 0.000 0.207 0.723 1
Pm2 0.232 0.000 0.227 1
Pm3 0.256 0.214 0.936 1
Pm4 0.262 0.000 0.656 1
Pm5 0.500 0.000 0.440 1
Pm6 0.500 0.000 0.863 1
Pm7 0.500 0.203 0.156 1
Er1 0.000 0.000 0.446 1
```

Main lines, in order of falling intensity (2θ = 10–90°):
Position (°2θ)	I_rel	index
30.46	100	2 2 2
31.60	25	4 0 0
31.97	18	0 0 4
55.57	17	6 2 2
32.94	10	1 0 4
41.60	10	0 4 0
45.58	9	4 0 4
53.16	9	4 4 0
61.78	8	4 3 5
51.60	8	0 3 5



Record 13
This entry pairs a crystal structure of CaPm8Er3 with its theoretical powder diffraction line list. Radiation: λ = 1.5418 Å (Cu Kα). Structure: a PBE-relaxed structure.
No peak broadening, texture or thermal motion is included.

Structure:
```
data_CaPm8Er3
_chemical_formula_sum 'Ca2 Pm16 Er6'
_space_group_name_H-M_alt 'C 1 m 1'
_space_group_IT_number 8
_cell_length_a 18.488
_cell_length_b 5.129
_cell_length_c 10.280
_cell_angle_alpha 90.00
_cell_angle_beta 123.66
_cell_angle_gamma 90.00
loop_
_space_group_symop_operation_xyz
'x,y,z'
'x,-y,z'
'x+1/2,y+1/2,z'
'x+1/2,-y+1/2,z'
loop_
_atom_site_label
_atom_site_fract_x
_atom_site_fract_y
_atom_site_fract_z
_atom_site_occupancy
Ca1 0.000 0.000 0.000 1
Pm1 0.000 0.500 0.260 1
Pm2 0.167 0.500 0.667 1
Pm3 0.168 0.000 0.917 1
Pm4 0.171 0.500 0.173 1
Pm5 0.328 0.000 0.827 1
Pm6 0.331 0.500 0.087 1
Pm7 0.331 0.500 0.577 1
Pm8 0.499 0.500 0.500 1
Er1 0.169 0.000 0.421 1
Er2 0.332 0.000 0.335 1
Er3 0.499 0.000 0.741 1
```

Main lines, in order of falling intensity (2θ = 10–90°):
Position (°2θ)	I_rel	index
30.16	100	5 1 -2
34.96	51	0 2 0
59.79	28	5 3 -2
50.32	18	6 2 0
50.24	18	4 2 -4
59.68	14	9 1 -6
62.70	12	10 2 -4
81.84	11	11 3 -2
84.48	7	6 4 0
81.70	6	3 3 -6



Record 14
This entry pairs a crystal structure of CaPm4ErS8 with its theoretical powder diffraction line list. Radiation: λ = 1.5418 Å (Cu Kα). Structure: a PBE-relaxed structure.
No peak broadening, texture or thermal motion is included.

Structure:
```
data_CaPm4ErS8
_chemical_formula_sum 'Ca3 Pm12 Er3 S24'
_space_group_name_H-M_alt 'R 3 m'
_space_group_IT_number 160
_space_group_name_Hall 'R 3 -2"'
_cell_length_a 8.2624
_cell_length_b 8.2624
_cell_length_c 20.0510
_cell_angle_alpha 90.00
_cell_angle_beta 90.00
_cell_angle_gamma 120.00
loop_
_atom_site_label
_atom_site_fract_x
_atom_site_fract_y
_atom_site_fract_z
_atom_site_occupancy
Ca1 0.0000 0.0000 0.0000 1
Pm1 0.0000 0.0000 0.7512 1
Pm2 0.0048 0.5024 0.8760 1
Er1 0.0000 0.0000 0.3733 1
S1 0.0000 0.0000 0.1340 1
S2 0.0000 0.0000 0.6178 1
S3 0.0281 0.5140 0.1252 1
S4 0.1811 0.3622 0.9588 1
```

Main lines, in order of falling intensity (2θ = 10–90°):
Position (°2θ)	I_rel	index
25.33	100	1 1 3
30.70	51	0 2 4
40.19	50	1 2 5
43.83	44	2 2 0
44.12	44	2 0 8
13.14	38	1 0 1
25.46	36	0 1 5
26.45	20	2 0 2
60.95	17	4 1 3
51.34	15	3 1 5